# 1
The following is a simulated powder diffraction line list of EuSe. It was derived from a DFT-relaxed cell (GGA-PBE, the Materials Project), using Cu Ka.
Lines closer than 0.1° are merged.

Peak list (10 most intense, 15 to 90 degrees two-theta, by angle)
hkl 1 0 0, 23.56°, intensity 12; hkl 1 1 0, 33.56°, intensity 100; hkl 1 1 1, 41.42°, intensity 4; hkl 2 0 0, 48.20°, intensity 18; hkl 2 1 0, 54.33°, intensity 5; hkl 2 1 1, 60.01°, intensity 37; hkl 2 2 0, 70.54°, intensity 11; hkl 3 0 0, 75.54°, intensity 2; hkl 3 1 0, 80.42°, intensity 16; hkl 3 1 1, 85.24°, intensity 1

Structure:
```
data_EuSe
_cell_length_a 3.776
_cell_length_b 3.776
_cell_length_c 3.776
_cell_angle_alpha 90.00
_cell_angle_beta 90.00
_cell_angle_gamma 90.00
_symmetry_space_group_name_H-M 'P m -3 m'
_symmetry_Int_Tables_number 221
_symmetry_space_group_name_Hall '-P 4 2 3'
loop_
_atom_site_label
_atom_site_type_symbol
_atom_site_fract_x
_atom_site_fract_y
_atom_site_fract_z
_atom_site_occupancy
Eu1 Eu 0.000 0.000 0.000 1
Se1 Se 0.500 0.500 0.500 1
```

=====

# 2
The following is a simulated powder diffraction line list of K3AlAs2. It was derived from a DFT-relaxed cell (GGA-PBE, the Materials Project), using Cu Ka.
Lines closer than 0.1° are merged.

Peak list (12 most intense, 15 to 90 degrees two-theta, by angle)
hkl -1 1 2, 19.20°, intensity 36; hkl 2 0 2, 21.76°, intensity 31; hkl 0 2 -2, 21.92°, intensity 31; hkl 2 3 3, 26.86°, intensity 31; hkl -1 3 1, 27.99°, intensity 61; hkl -1 3 2, 29.31°, intensity 28; hkl 1 1 -4, 30.56°, intensity 100; hkl 2 0 -3, 30.81°, intensity 50; hkl 2 4 1, 31.67°, intensity 57; hkl 1 3 5, 31.78°, intensity 81; hkl 0 2 -4, 32.04°, intensity 33; hkl -1 1 5, 34.42°, intensity 40

Structure:
```
data_K3AlAs2
_cell_length_a 9.166
_cell_length_b 12.293
_cell_length_c 15.699
_cell_angle_alpha 72.50
_cell_angle_beta 73.06
_cell_angle_gamma 71.98
_symmetry_space_group_name_H-M 'P -1'
_symmetry_Int_Tables_number 2
_symmetry_space_group_name_Hall '-P 1'
loop_
_atom_site_label
_atom_site_type_symbol
_atom_site_fract_x
_atom_site_fract_y
_atom_site_fract_z
_atom_site_occupancy
K1 K 0.013 0.376 0.085 1
K2 K 0.020 0.427 0.658 1
K3 K 0.041 0.079 0.245 1
K4 K 0.156 0.083 0.809 1
K5 K 0.183 0.918 0.479 1
K6 K 0.281 0.248 0.883 1
K7 K 0.305 0.760 0.182 1
K8 K 0.319 0.626 0.476 1
K9 K 0.323 0.399 0.192 1
K10 K 0.337 0.575 0.743 1
K11 K 0.471 0.902 0.650 1
K12 K 0.483 0.108 0.087 1
Al1 Al 0.093 0.857 0.991 1
Al2 Al 0.141 0.269 0.446 1
Al3 Al 0.343 0.612 0.990 1
Al4 Al 0.351 0.220 0.577 1
As1 As 0.011 0.707 0.659 1
As2 As 0.088 0.660 0.106 1
As3 As 0.132 0.130 0.595 1
As4 As 0.174 0.012 0.039 1
As5 As 0.281 0.781 0.855 1
As6 As 0.346 0.370 0.431 1
As7 As 0.406 0.409 0.959 1
As8 As 0.489 0.833 0.315 1
```

=====

# 3
The following is a simulated powder diffraction line list of Cs2SO4. It was derived from a DFT-relaxed cell (GGA-PBE, the Materials Project), using Cu Ka.
Lines closer than 0.1° are merged.

Peak list (12 most intense, 15 to 90 degrees two-theta, by angle)
hkl 1 1 1, 19.07°, intensity 100; hkl 3 0 1, 23.18°, intensity 51; hkl 2 0 2, 25.45°, intensity 33; hkl 1 1 2, 26.68°, intensity 34; hkl 0 2 0, 28.66°, intensity 54; hkl 2 1 2, 29.27°, intensity 74; hkl 4 1 0, 31.08°, intensity 70; hkl 1 0 3, 33.05°, intensity 37; hkl 3 2 1, 37.18°, intensity 35; hkl 2 2 2, 38.70°, intensity 24; hkl 1 2 3, 44.31°, intensity 27; hkl 5 1 3, 50.35°, intensity 26

Structure:
```
data_Cs2SO4
_cell_length_a 12.980
_cell_length_b 6.229
_cell_length_c 8.314
_cell_angle_alpha 90.00
_cell_angle_beta 90.00
_cell_angle_gamma 90.00
_symmetry_space_group_name_H-M 'P n m a'
_symmetry_Int_Tables_number 62
_symmetry_space_group_name_Hall '-P 2ac 2n'
loop_
_atom_site_label
_atom_site_type_symbol
_atom_site_fract_x
_atom_site_fract_y
_atom_site_fract_z
_atom_site_occupancy
Cs1 Cs 0.054 0.250 0.174 1
Cs2 Cs 0.168 0.750 0.492 1
S1 S 0.086 0.250 0.735 1
O1 O 0.024 0.750 0.205 1
O2 O 0.086 0.250 0.555 1
O3 O 0.140 0.054 0.797 1
```